Calculated powder X-ray diffraction pattern of Ga2Te3H6O12 for copper Kα, from the PBE geometry in Alexandria.

```
Ga2Te3H6O12
1.0
4.7715 2.7548 6.7160
-4.7715 2.7548 6.7160
0.0000 -5.5097 6.7160
Ga Te H O
4 6 12 24
direct
0.0000 0.0000 0.0000
0.2462 0.2462 0.2462
0.5000 0.5000 0.5000
0.7462 0.7462 0.7462
0.0243 0.9395 0.3972
0.3972 0.0243 0.9395
0.4395 0.5243 0.8972
0.5243 0.8972 0.4395
0.8972 0.4395 0.5243
0.9395 0.3972 0.0243
0.0342 0.6523 0.1603
0.1523 0.5342 0.6603
0.1603 0.0342 0.6523
0.2064 0.4963 0.4745
0.4745 0.2064 0.4963
0.4963 0.4745 0.2064
0.5342 0.6603 0.1523
0.6523 0.1603 0.0342
0.6603 0.1523 0.5342
0.7064 0.9745 0.9963
0.9745 0.9963 0.7064
0.9963 0.7064 0.9745
0.0231 0.2373 0.8906
0.0310 0.1662 0.3716
0.0710 0.9800 0.7506
0.1087 0.4582 0.3356
0.1662 0.3716 0.0310
0.2373 0.8906 0.0231
0.2506 0.4800 0.5710
0.3356 0.1087 0.4582
0.3716 0.0310 0.1662
0.3906 0.7373 0.5231
0.4582 0.3356 0.1087
0.4800 0.5710 0.2506
0.5231 0.3906 0.7373
0.5310 0.8716 0.6662
0.5710 0.2506 0.4800
0.6087 0.8356 0.9582
0.6662 0.5310 0.8716
0.7373 0.5231 0.3906
0.7506 0.0710 0.9800
0.8356 0.9582 0.6087
0.8716 0.6662 0.5310
0.8906 0.0231 0.2373
0.9582 0.6087 0.8356
0.9800 0.7506 0.0710
```

Top 6 peaks for 10 to 90 degrees two-theta, by intensity:
2theta  I_rel
23.27  100
27.93  88
13.86  67
33.76  56
29.95  36
52.54  32

***

Calculated powder X-ray diffraction pattern of Ga2H5Os for copper Kα, from the PBE geometry in Alexandria.

```
Ga2H5Os
1.0
6.4296 0.0000 0.0000
0.0000 7.1107 0.0000
-2.9401 0.0000 4.0890
Ga H Os
4 10 2
direct
0.0000 0.1863 0.0000
0.0000 0.8137 0.0000
0.5000 0.3137 0.0000
0.5000 0.6863 0.0000
0.9999 0.5000 0.1341
0.0667 0.3563 0.6285
0.0667 0.6437 0.6285
0.3121 0.0000 0.6755
0.3726 0.5000 0.3274
0.4999 0.0000 0.1341
0.5667 0.1437 0.6285
0.5667 0.8563 0.6285
0.8121 0.5000 0.6755
0.8726 0.0000 0.3274
0.1287 0.5000 0.9276
0.6287 0.0000 0.9276
```

Top 6 peaks for 10 to 90 degrees two-theta, by intensity:
2theta  I_rel
21.73  100
22.06  59
21.11  49
44.97  39
41.86  31
37.77  29

***

Calculated powder X-ray diffraction pattern of Ga2PH6 for copper Kα, from the PBE geometry in Alexandria.

```
Ga2PH6
1.0
0.0000 3.6157 3.6157
3.6157 0.0000 3.6157
3.6157 3.6157 0.0000
Ga P H
2 1 6
direct
0.2500 0.2500 0.2500
0.7500 0.7500 0.7500
0.0000 0.0000 0.0000
0.2120 0.2120 0.7880
0.2120 0.7880 0.2120
0.2120 0.7880 0.7880
0.7880 0.2120 0.2120
0.7880 0.2120 0.7880
0.7880 0.7880 0.2120
```

Top 6 peaks for 10 to 90 degrees two-theta, by intensity:
2theta  I_rel
35.10  100
24.62  50
62.97  35
56.95  21
50.48  19
43.35  18

***

Calculated powder X-ray diffraction pattern of GaP2HPt for copper Kα, from the PBE geometry in Alexandria.

```
GaP2HPt
1.0
4.5234 0.0000 0.0000
0.0000 3.7572 0.0000
-1.8733 0.0000 4.6165
Ga P H Pt
1 2 1 1
direct
0.0000 0.0000 0.0000
0.1604 0.5000 0.6904
0.6519 0.5000 0.4273
0.6449 0.5000 0.1360
0.4059 0.0000 0.5372
```

Top 6 peaks for 10 to 90 degrees two-theta, by intensity:
2theta  I_rel
33.01  100
22.67  62
19.23  60
23.68  54
33.86  53
21.20  33

***

Calculated powder X-ray diffraction pattern of PaGaHPd for copper Kα, from the PBE geometry in Alexandria.

```
PaGaHPd
1.0
4.4577 0.0000 0.0000
-2.2289 3.8605 0.0000
0.0000 0.0000 3.6359
Pa Ga H Pd
1 1 1 1
direct
0.0000 0.0000 0.0000
0.3333 0.6667 0.5000
0.6667 0.3333 0.0000
0.6667 0.3333 0.5000
```

Top 6 peaks for 10 to 90 degrees two-theta, by intensity:
2theta  I_rel
33.87  100
40.47  51
53.77  27
69.40  26
23.04  24
66.35  24

***

Calculated powder X-ray diffraction pattern of PaGaH6Ru3 for copper Kα, from the PBE geometry in Alexandria.

```
PaGaH6Ru3
1.0
3.5615 2.0562 2.3799
-3.5615 2.0562 2.3799
0.0000 -4.1124 2.3799
Pa Ga H Ru
1 1 6 3
direct
0.0000 0.0000 0.0000
0.4002 0.4002 0.4002
0.1425 0.5106 0.8685
0.1425 0.8685 0.5106
0.5106 0.1425 0.8685
0.5106 0.8685 0.1425
0.8685 0.1425 0.5106
0.8685 0.5106 0.1425
0.5391 0.5391 0.9407
0.5391 0.9407 0.5391
0.9407 0.5391 0.5391
```

Top 6 peaks for 10 to 90 degrees two-theta, by intensity:
2theta  I_rel
31.60  100
38.58  84
25.00  51
37.80  35
51.31  31
46.52  30